Theoretical powder XRD pattern
Compound: NiPt4S
Radiation: Cu Kα X-rays
Structure: a structure optimized by DFT (GGA-PBE)
Peak positions follow from Bragg's law for the DFT cell and can differ from measured ones.

a = 4.1352 Å, b = 4.1352 Å, c = 19.5917 Å
α = 90.00°, β = 90.00°, γ = 120.00°
Space group R-3m (No. 166, hexagonal axes)
Unique sites:
Ni: 0.0000 0.0000 0.0000 (multiplicity 3)
Pt: 0.0000 0.0000 0.1278 (multiplicity 6)
Pt: 0.0000 0.0000 0.3751 (multiplicity 6)
S: 0.0000 0.0000 0.5000 (multiplicity 3)

The 10 most intense peaks (10° ≤ 2θ ≤ 80°), in order of rising 2θ:
| d [Å] | intensity | h k l |
| --- | --- | --- |
| 3.363 | 3 | 0 1 2 |
| 3.265 | 2 | 0 0 6 |
| 2.891 | 100 | 1 0 4 |
| 2.068 | 66 | 1 1 0 |
| 2.021 | 61 | 0 1 8 |
| 1.682 | 21 | 0 2 4 |
| 1.633 | 6 | 0 0 12 |
| 1.445 | 21 | 2 0 8 |
| 1.305 | 19 | 2 1 4 |
| 1.281 | 17 | 1 1 12 |